[1]
Structure and simulated XRD peak list of BaGe2Te4 (a crystal structure in Alexandria, relaxed with GGA-PBE; λ = 1.5418 Å (Cu Kα)).
Peak positions follow from Bragg's law for the DFT cell and can differ from measured ones.

Cell and atoms:
a b c (Å): 8.7222 8.7222 6.6521
angles (deg): 90.00 90.00 90.00
Space group I4/m (No. 87)
Inequivalent atoms, fractional coordinates:
Ba: 0.0000 0.0000 0.0000 x2
Ge: 0.0000 0.5000 0.2500 x4
Te: 0.1466 0.2957 0.5000 x8

Peak list (12 most intense, 10 to 90 degrees two-theta, in order of rising 2θ)
2θ 26.5, 3.365 Å, intensity 100, (2 1 1); 2θ 26.8, 3.326 Å, intensity 16, (0 0 2); 2θ 29.0, 3.084 Å, intensity 18, (2 2 0); 2θ 32.5, 2.758 Å, intensity 12, (1 3 0); 2θ 33.9, 2.645 Å, intensity 13, (2 0 2); 2θ 42.6, 2.123 Å, intensity 42, (1 3 2); 2θ 45.0, 2.016 Å, intensity 13, (1 4 1); 2θ 46.6, 1.950 Å, intensity 13, (4 2 0); 2θ 47.1, 1.928 Å, intensity 21, (2 1 3); 2θ 54.4, 1.687 Å, intensity 18, (5 0 1); 2θ 68.4, 1.371 Å, intensity 9, (5 0 3); 2θ 68.8, 1.364 Å, intensity 10, (3 5 2)

[2]
Structure and simulated XRD peak list of Er5Te4Ru (a crystal structure in Alexandria, relaxed with GGA-PBE; λ = 1.5418 Å (Cu Kα)).
Peak positions follow from Bragg's law for the DFT cell and can differ from measured ones.

Cell and atoms:
a b c (Å): 9.6736 9.6736 6.0795
angles (deg): 90.00 90.00 90.00
Space group I4/m (No. 87)
Inequivalent atoms, fractional coordinates:
Er: 0.0000 0.0000 0.0000 x2
Er: 0.0905 0.7452 0.5000 x8
Te: 0.0918 0.6895 0.0000 x8
Ru: 0.0000 0.0000 0.5000 x2

Peak list (12 most intense, 10 to 90 degrees two-theta, in order of rising 2θ)
2θ 29.2, 3.059 Å, intensity 100, (3 1 0); 2θ 29.4, 3.040 Å, intensity 57, (0 0 2); 2θ 36.6, 2.455 Å, intensity 18, (2 3 1); 2θ 41.8, 2.163 Å, intensity 31, (2 4 0); 2θ 41.9, 2.156 Å, intensity 75, (3 1 2); 2θ 51.9, 1.762 Å, intensity 33, (2 4 2); 2θ 60.1, 1.539 Å, intensity 9, (6 1 1); 2θ 63.4, 1.466 Å, intensity 9, (5 4 1); 2θ 68.7, 1.367 Å, intensity 18, (6 2 2); 2θ 69.0, 1.361 Å, intensity 17, (3 1 4); 2θ 76.3, 1.248 Å, intensity 10, (1 7 2); 2θ 76.6, 1.244 Å, intensity 10, (2 4 4)

[3]
Structure and simulated XRD peak list of Ho4TmSn (a crystal structure in Alexandria, relaxed with GGA-PBE; λ = 1.5418 Å (Cu Kα)).
Peak positions follow from Bragg's law for the DFT cell and can differ from measured ones.

Cell and atoms:
a b c (Å): 5.3662 21.5308 6.4549
angles (deg): 90.00 90.00 90.00
Space group Cmc2_1 (No. 36)
Inequivalent atoms, fractional coordinates:
Ho: 0.0000 0.0361 0.0000 x4
Ho: 0.0000 0.1773 0.1773 x4
Ho: 0.0000 0.2421 0.6976 x4
Ho: 0.0000 0.4304 0.8345 x4
Tm: 0.0000 0.3626 0.3469 x4
Sn: 0.0000 0.1045 0.5861 x4

Peak list (12 most intense, 10 to 90 degrees two-theta, in order of rising 2θ)
2θ 26.5, 3.359 Å, intensity 18, (1 5 0); 2θ 28.9, 3.092 Å, intensity 28, (0 2 2); 2θ 30.0, 2.979 Å, intensity 100, (1 5 1); 2θ 32.6, 2.743 Å, intensity 61, (1 1 2); 2θ 33.4, 2.683 Å, intensity 60, (2 0 0); 2θ 34.8, 2.581 Å, intensity 28, (1 3 2); 2θ 36.4, 2.466 Å, intensity 58, (1 7 1); 2θ 44.4, 2.041 Å, intensity 24, (0 10 1); 2θ 44.7, 2.026 Å, intensity 17, (2 2 2); 2θ 57.6, 1.601 Å, intensity 29, (3 5 1); 2θ 60.4, 1.533 Å, intensity 22, (1 9 3); 2θ 67.5, 1.387 Å, intensity 18, (1 15 0)

[4]
Structure and simulated XRD peak list of Sr5Ga4 (a crystal structure in Alexandria, relaxed with GGA-PBE; λ = 1.5418 Å (Cu Kα)).
Peak positions follow from Bragg's law for the DFT cell and can differ from measured ones.

Cell and atoms:
a b c (Å): 11.5123 4.9829 11.2471
angles (deg): 90.00 112.12 90.00
Space group C2/m (No. 12)
Inequivalent atoms, fractional coordinates:
Sr: 0.0000 0.0000 0.0000 x2
Sr: 0.1099 0.0000 0.3989 x4
Sr: 0.2431 0.0000 0.8238 x4
Ga: 0.0510 0.5000 0.8254 x4
Ga: 0.0949 0.5000 0.6151 x4

Peak list (12 most intense, 10 to 90 degrees two-theta, in order of rising 2θ)
2θ 28.1, 3.171 Å, intensity 100, (1 1 2); 2θ 29.4, 3.039 Å, intensity 96, (3 1 -1); 2θ 29.9, 2.993 Å, intensity 50, (1 1 -3); 2θ 33.7, 2.660 Å, intensity 37, (3 1 -3); 2θ 34.6, 2.591 Å, intensity 29, (3 1 1); 2θ 36.0, 2.491 Å, intensity 53, (0 2 0); 2θ 37.8, 2.377 Å, intensity 23, (4 0 1); 2θ 43.4, 2.084 Å, intensity 22, (0 0 5); 2θ 53.3, 1.720 Å, intensity 17, (4 2 1); 2θ 54.1, 1.695 Å, intensity 19, (3 1 4); 2θ 57.7, 1.598 Å, intensity 19, (0 2 5); 2θ 63.3, 1.470 Å, intensity 19, (6 2 -4)